No. 1
Structure and calculated powder XRD pattern of P2Pb4SO12 (a structure optimized by DFT (GGA-PBE); Cu Kα X-rays).
Peak positions follow from Bragg's law for the DFT cell and can differ from measured ones.

Principal peaks in the range 5° ≤ 2θ ≤ 70°, sorted by position:
d/Å	two_theta	I_rel
4.358	20.4	83
3.389	26.3	57
3.369	26.5	100
2.855	31.3	63
2.848	31.4	43
2.176	41.5	34
2.096	43.2	37
2.089	43.3	38

Atomic structure:
Cell lengths 9.245, 9.245, 9.245 Å; angles 109.66, 109.66, 109.09 degrees
Positions (direct):
P: 0.375 0.249 0.374
P: 0.751 0.125 0.126
P: 0.875 0.001 0.626
P: 0.999 0.625 0.874
Pb: 0.111 0.362 0.593
Pb: 0.112 0.361 0.093
Pb: 0.268 0.019 0.907
Pb: 0.482 0.889 0.250
Pb: 0.638 0.231 0.750
Pb: 0.639 0.732 0.750
Pb: 0.769 0.518 0.407
Pb: 0.981 0.888 0.250
S: 0.250 0.750 0.500
S: 0.500 0.500 0.000
O: 0.036 0.135 0.817
O: 0.067 0.722 0.448
O: 0.190 0.786 0.009
O: 0.214 0.223 0.404
O: 0.274 0.620 0.552
O: 0.278 0.726 0.345
O: 0.318 0.219 0.183
O: 0.370 0.524 0.052
O: 0.380 0.933 0.655
O: 0.432 0.115 0.401
O: 0.472 0.317 0.948
O: 0.476 0.528 0.845
O: 0.536 0.440 0.509
O: 0.560 0.069 0.096
O: 0.683 0.630 0.155
O: 0.714 0.031 0.599
O: 0.777 0.181 0.991
O: 0.781 0.964 0.099
O: 0.819 0.810 0.596
O: 0.865 0.682 0.901
O: 0.885 0.286 0.317
O: 0.931 0.027 0.491
O: 0.969 0.568 0.683
O: 0.973 0.464 0.904

---

No. 2
Structure and calculated powder XRD pattern of LiPr4Ge4 (a structure optimized by DFT (GGA-PBE); Cu Kα X-rays).
Peak positions follow from Bragg's law for the DFT cell and can differ from measured ones.

Principal peaks in the range 5° ≤ 2θ ≤ 70°, sorted by position:
d/Å	two_theta	I_rel
3.321	26.8	24
2.919	30.6	68
2.832	31.6	100
2.781	32.2	57
2.608	34.4	44
2.500	35.9	22
2.388	37.7	33
1.653	55.6	29

Atomic structure:
Cell lengths 7.500, 15.348, 8.075 Å; angles 90.00, 90.00, 90.00 degrees
Positions (direct):
Li: 0.157 0.250 0.033
Li: 0.343 0.750 0.533
Li: 0.657 0.250 0.467
Li: 0.843 0.750 0.967
Pr: 0.026 0.602 0.690
Pr: 0.026 0.898 0.690
Pr: 0.176 0.628 0.178
Pr: 0.176 0.872 0.178
Pr: 0.324 0.128 0.678
Pr: 0.324 0.372 0.678
Pr: 0.474 0.102 0.190
Pr: 0.474 0.398 0.190
Pr: 0.526 0.602 0.810
Pr: 0.526 0.898 0.810
Pr: 0.676 0.628 0.322
Pr: 0.676 0.872 0.322
Pr: 0.824 0.128 0.822
Pr: 0.824 0.372 0.822
Pr: 0.974 0.102 0.310
Pr: 0.974 0.398 0.310
Ge: 0.014 0.250 0.579
Ge: 0.157 0.037 0.968
Ge: 0.157 0.463 0.968
Ge: 0.228 0.750 0.868
Ge: 0.272 0.250 0.368
Ge: 0.343 0.537 0.468
Ge: 0.343 0.963 0.468
Ge: 0.486 0.750 0.079
Ge: 0.514 0.250 0.921
Ge: 0.657 0.037 0.532
Ge: 0.657 0.463 0.532
Ge: 0.728 0.750 0.632
Ge: 0.772 0.250 0.132
Ge: 0.843 0.537 0.032
Ge: 0.843 0.963 0.032
Ge: 0.986 0.750 0.421

---

No. 3
Structure and calculated powder XRD pattern of Cs3Ge4Au (a structure optimized by DFT (GGA-PBE); Cu Kα X-rays).
Peak positions follow from Bragg's law for the DFT cell and can differ from measured ones.

Principal peaks in the range 5° ≤ 2θ ≤ 70°, sorted by position:
d/Å	two_theta	I_rel
6.643	13.3	67
6.426	13.8	85
3.671	24.2	100
3.613	24.6	43
3.321	26.8	67
2.857	31.3	99
2.724	32.9	81
2.575	34.8	65

Atomic structure:
Cell lengths 7.342, 13.286, 6.249 Å; angles 90.00, 90.00, 90.00 degrees
Positions (direct):
Cs: 0.250 0.016 0.157
Cs: 0.250 0.250 0.573
Cs: 0.250 0.484 0.157
Cs: 0.750 0.516 0.843
Cs: 0.750 0.750 0.427
Cs: 0.750 0.984 0.843
Ge: 0.062 0.750 0.933
Ge: 0.250 0.645 0.663
Ge: 0.250 0.855 0.663
Ge: 0.438 0.750 0.933
Ge: 0.562 0.250 0.067
Ge: 0.750 0.145 0.337
Ge: 0.750 0.355 0.337
Ge: 0.938 0.250 0.067
Au: 0.250 0.750 0.300
Au: 0.750 0.250 0.700

---

No. 4
Structure and calculated powder XRD pattern of ThCd2 (a structure optimized by DFT (GGA-PBE); Cu Kα X-rays).
Peak positions follow from Bragg's law for the DFT cell and can differ from measured ones.

Principal peaks in the range 5° ≤ 2θ ≤ 70°, sorted by position:
d/Å	two_theta	I_rel
4.460	19.9	17
2.693	33.3	100
2.575	34.8	79
1.861	48.9	34
1.689	54.3	7
1.508	61.5	34
1.487	62.5	14
1.412	66.2	24

Atomic structure:
Cell lengths 5.150, 5.150, 3.378 Å; angles 90.00, 90.00, 120.00 degrees
Positions (direct):
Th: 0.000 0.000 0.000
Cd: 0.333 0.667 0.500
Cd: 0.667 0.333 0.500

---

No. 5
Structure and calculated powder XRD pattern of BaMg6Ti (a structure optimized by DFT (GGA-PBE); Cu Kα X-rays).
Peak positions follow from Bragg's law for the DFT cell and can differ from measured ones.

Principal peaks in the range 5° ≤ 2θ ≤ 70°, sorted by position:
d/Å	two_theta	I_rel
5.804	15.3	51
3.912	22.7	45
2.903	30.8	28
2.832	31.6	21
2.647	33.9	25
2.545	35.3	100
1.508	61.5	19
1.416	66.0	19

Atomic structure:
Cell lengths 5.293, 6.706, 6.706 Å; angles 59.91, 90.00, 90.00 degrees
Positions (direct):
Ba: 0.000 0.000 0.000
Mg: 0.000 0.012 0.480
Mg: 0.000 0.480 0.012
Mg: 0.000 0.496 0.496
Mg: 0.500 0.172 0.643
Mg: 0.500 0.643 0.172
Mg: 0.500 0.666 0.666
Ti: 0.500 0.176 0.176

---

No. 6
Structure and calculated powder XRD pattern of LaInCu5 (a structure optimized by DFT (GGA-PBE); Cu Kα X-rays).
Peak positions follow from Bragg's law for the DFT cell and can differ from measured ones.

Principal peaks in the range 5° ≤ 2θ ≤ 70°, sorted by position:
d/Å	two_theta	I_rel
2.569	34.9	27
2.545	35.3	27
2.408	37.3	100
2.151	42.0	23
2.075	43.6	17
2.067	43.8	59
2.023	44.8	32
1.450	64.2	19

Atomic structure:
Cell lengths 10.672, 16.925, 5.138 Å; angles 90.00, 90.00, 90.00 degrees
Positions (direct):
La: 0.000 0.000 0.000
La: 0.000 0.500 0.000
La: 0.116 0.245 0.500
La: 0.384 0.745 0.000
La: 0.500 0.000 0.500
La: 0.500 0.500 0.500
La: 0.616 0.255 0.000
La: 0.884 0.755 0.500
In: 0.083 0.806 0.000
In: 0.192 0.052 0.500
In: 0.308 0.552 0.000
In: 0.417 0.306 0.500
In: 0.583 0.694 0.500
In: 0.692 0.448 0.000
In: 0.808 0.948 0.500
In: 0.917 0.194 0.000
Cu: 0.042 0.414 0.500
Cu: 0.052 0.904 0.500
Cu: 0.071 0.332 0.000
Cu: 0.133 0.659 0.250
Cu: 0.133 0.659 0.750
Cu: 0.163 0.152 0.000
Cu: 0.190 0.534 0.500
Cu: 0.200 0.783 0.500
Cu: 0.244 0.408 0.251
Cu: 0.244 0.408 0.749
Cu: 0.256 0.908 0.249
Cu: 0.256 0.908 0.751
Cu: 0.300 0.283 0.000
Cu: 0.310 0.034 0.000
Cu: 0.337 0.652 0.500
Cu: 0.367 0.159 0.250
Cu: 0.367 0.159 0.750
Cu: 0.429 0.832 0.500
Cu: 0.448 0.404 0.000
Cu: 0.458 0.914 0.000
Cu: 0.542 0.086 0.000
Cu: 0.552 0.596 0.000
Cu: 0.571 0.168 0.500
Cu: 0.633 0.841 0.250
Cu: 0.633 0.841 0.750
Cu: 0.663 0.348 0.500
Cu: 0.690 0.966 0.000
Cu: 0.700 0.717 0.000
Cu: 0.744 0.092 0.249
Cu: 0.744 0.092 0.751
Cu: 0.756 0.592 0.251
Cu: 0.756 0.592 0.749
Cu: 0.800 0.217 0.500
Cu: 0.810 0.466 0.500
Cu: 0.837 0.848 0.000
Cu: 0.867 0.341 0.250
Cu: 0.867 0.341 0.750
Cu: 0.929 0.668 0.000
Cu: 0.948 0.096 0.500
Cu: 0.958 0.586 0.500